(1)
For Na4NiAg2S8N5O12, a cell relaxed with PBE+U gives the simulated powder X-ray diffraction pattern in this record (Cu Ka).
Intensities are scaled so that the largest is 100.

Most intense lines, 2θ = 10–80°, in order of rising 2θ:
Position (°2θ)	I (rel.)	(hkl)
12.72	50	2 0 0
18.03	52	2 2 0
20.18	28	3 1 0
20.64	100	2 1 1
25.60	29	4 0 0
28.69	67	2 4 0
30.44	35	1 4 1
36.42	70	3 1 2
47.09	28	4 6 0
56.01	28	7 1 2

Lattice parameters (Å, degrees): 13.918 13.918 5.958 90.00 90.00 90.00
Space group I4 (No. 79)
Inequivalent atoms, fractional coordinates:
Na  0.173  0.714  0.000 (multiplicity 8)
Ni  0.000  0.000  0.549 (multiplicity 2)
Ag  0.000  0.500  0.250 (multiplicity 4)
S  0.083  0.620  0.500 (multiplicity 8)
S  0.091  0.266  0.000 (multiplicity 8)
N  0.000  0.000  0.826 (multiplicity 2)
N  0.036  0.872  0.504 (multiplicity 8)
O  0.012  0.751  0.000 (multiplicity 8)
O  0.141  0.233  0.204 (multiplicity 8)
O  0.141  0.233  0.795 (multiplicity 8)

***

(2)
For NbAgWO7, a cell relaxed with PBE+U gives the simulated powder X-ray diffraction pattern in this record (Cu Ka).
Intensities are scaled so that the largest is 100.

Most intense lines, 2θ = 10–80°, in order of rising 2θ:
Position (°2θ)	I (rel.)	(hkl)
14.39	22	0 1 1
14.71	45	1 0 1
16.77	51	0 0 2
23.49	22	0 2 0
29.00	100	0 2 2
29.68	84	2 0 2
34.05	39	2 2 0
48.83	52	2 2 4
57.49	26	2 4 2
58.66	27	4 2 2

Lattice parameters (Å, degrees): 7.325 7.575 10.571 90.00 90.00 90.00
Space group Imma (No. 74)
Inequivalent atoms, fractional coordinates:
Nb  0.000  0.000  0.000 (multiplicity 4)
Ag  0.250  0.250  0.250 (multiplicity 4)
W  0.250  0.250  0.750 (multiplicity 4)
O  0.000  0.250  0.069 (multiplicity 4)
O  0.000  0.250  0.324 (multiplicity 4)
O  0.000  0.250  0.693 (multiplicity 4)
O  0.187  0.069  0.873 (multiplicity 16)

***

(3)
For NiAgO2, a cell relaxed with PBE+U gives the simulated powder X-ray diffraction pattern in this record (Cu Ka).
Intensities are scaled so that the largest is 100.

Most intense lines, 2θ = 10–80°, in order of rising 2θ:
Position (°2θ)	I (rel.)	(hkl)
28.99	46	0 0 6
34.84	17	1 0 1
35.88	100	0 1 2
39.78	48	1 0 4
53.03	37	0 1 8
61.57	22	1 0 10
61.79	24	1 1 0
69.68	21	1 1 6
73.56	11	2 0 2
76.04	7	0 2 4

Lattice parameters (Å, degrees): 3.0027 3.0027 18.4785 90.00 90.00 120.00
Space group R-3m (No. 166, hexagonal axes)
Inequivalent atoms, fractional coordinates:
Ni  0.0000  0.0000  0.0000 (multiplicity 3)
Ag  0.0000  0.0000  0.5000 (multiplicity 3)
O  0.0000  0.0000  0.3881 (multiplicity 6)

***

(4)
For NiAgO2, a cell relaxed with PBE+U gives the simulated powder X-ray diffraction pattern in this record (Cu Ka).
Intensities are scaled so that the largest is 100.

Most intense lines, 2θ = 10–80°, in order of rising 2θ:
Position (°2θ)	I (rel.)	(hkl)
29.00	75	0 0 2
34.57	61	1 1 1
35.26	18	1 -1 0
36.65	100	0 2 0
39.81	52	0 2 2
39.97	25	1 1 -1
50.97	22	1 1 3
54.14	38	0 2 -2
61.10	51	2 0 0
67.62	12	2 0 2

Lattice parameters (Å, degrees): 3.038 5.131 6.447 72.99 86.81 87.39
Space group P-1 (No. 2)
Inequivalent atoms, fractional coordinates:
Ni  0.247  0.251  0.000 (multiplicity 2)
Ag  0.249  0.750  0.500 (multiplicity 2)
O  0.244  0.635  0.837 (multiplicity 2)
O  0.263  0.866  0.163 (multiplicity 2)

***

(5)
For NiAg2O2, a cell relaxed with PBE+U gives the simulated powder X-ray diffraction pattern in this record (Cu Ka).
Intensities are scaled so that the largest is 100.

Most intense lines, 2θ = 10–80°, in order of rising 2θ:
Position (°2θ)	I (rel.)	(hkl)
11.38	18	0 0 3
34.60	33	0 0 9
35.04	30	0 1 2
37.57	41	1 0 4
39.38	100	0 1 5
43.90	26	1 0 7
52.47	21	1 0 10
61.15	30	1 1 0
66.44	18	0 1 14
72.20	22	1 1 9

Lattice parameters (Å, degrees): 3.0313 3.0313 23.3339 90.00 90.00 120.00
Space group R-3m (No. 166, hexagonal axes)
Inequivalent atoms, fractional coordinates:
Ni  0.0000  0.0000  0.0000 (multiplicity 3)
Ag  0.0000  0.0000  0.2148 (multiplicity 6)
O  0.0000  0.0000  0.3800 (multiplicity 6)

***

(6)
For NiAgO2, a cell relaxed with PBE+U gives the simulated powder X-ray diffraction pattern in this record (Cu Ka).
Intensities are scaled so that the largest is 100.

Most intense lines, 2θ = 10–80°, in order of rising 2θ:
Position (°2θ)	I (rel.)	(hkl)
29.00	59	0 0 4
35.32	100	1 0 1
37.58	86	1 0 2
41.13	25	1 0 3
51.11	33	1 0 5
57.20	34	1 0 6
61.87	30	1 1 0
63.91	17	1 0 7
69.76	27	1 1 4
74.70	11	2 0 2

Lattice parameters (Å, degrees): 2.9992 2.9992 12.3151 90.00 90.00 120.00
Space group P6_3/mmc (No. 194)
Inequivalent atoms, fractional coordinates:
Ni  0.0000  0.0000  0.0000 (multiplicity 2)
Ag  0.3333  0.6667  0.2500 (multiplicity 2)
O  0.3333  0.6667  0.0819 (multiplicity 4)